1.
# MgAlTcOs
Calculated powder X-ray diffraction pattern, Cu Kα (weighted mean of Kα1 and Kα2). Input: DFT lattice parameters and positions (GGA-PBE).

Structure:
```
data_MgAlTcOs
_chemical_formula_sum 'Mg4 Al4 Tc4 Os4'
_symmetry_space_group_name_H-M 'F -4 3 m'
_symmetry_Int_Tables_number 216
_symmetry_space_group_name_Hall 'F -4 2 3'
_cell_length_a 6.186
_cell_length_b 6.186
_cell_length_c 6.186
_cell_angle_alpha 90.00
_cell_angle_beta 90.00
_cell_angle_gamma 90.00
loop_
_atom_site_label
_atom_site_type_symbol
_atom_site_fract_x
_atom_site_fract_y
_atom_site_fract_z
_atom_site_occupancy
Mg1 Mg 0.000 0.000 0.000 1
Al1 Al 0.250 0.250 0.750 1
Tc1 Tc 0.250 0.250 0.250 1
Os1 Os 0.000 0.000 0.500 1
```

Main lines, in order of falling intensity (2θ = 10–90°):
- (2 2 0), 2θ 41.28, intensity 100
- (1 1 1), 2θ 24.93, intensity 67
- (3 1 1), 2θ 48.83, intensity 34
- (4 2 2), 2θ 75.26, intensity 34
- (4 0 0), 2θ 59.81, intensity 17
- (3 3 1), 2θ 65.81, intensity 14


2.
# Mg8Al2P
Calculated powder X-ray diffraction pattern, Cu Kα (weighted mean of Kα1 and Kα2). Input: DFT lattice parameters and positions (GGA-PBE).

Structure:
```
data_Mg8Al2P
_chemical_formula_sum 'Mg16 Al4 P2'
_symmetry_space_group_name_H-M 'C 1 2/m 1'
_symmetry_Int_Tables_number 12
_cell_length_a 9.603
_cell_length_b 6.383
_cell_length_c 7.926
_cell_angle_alpha 90.00
_cell_angle_beta 104.44
_cell_angle_gamma 90.00
loop_
_symmetry_equiv_pos_as_xyz
'x,y,z'
'-x,-y,-z'
'-x,y,-z'
'x,-y,z'
'x+1/2,y+1/2,z'
'-x+1/2,-y+1/2,-z'
'-x+1/2,y+1/2,-z'
'x+1/2,-y+1/2,z'
loop_
_atom_site_label
_atom_site_type_symbol
_atom_site_fract_x
_atom_site_fract_y
_atom_site_fract_z
_atom_site_occupancy
Mg1 Mg 0.076 0.242 0.255 1
Mg2 Mg 0.152 0.500 0.608 1
Mg3 Mg 0.219 0.000 0.981 1
Al1 Al 0.137 0.000 0.604 1
P1 P 0.000 0.500 0.000 1
```

Main lines, in order of falling intensity (2θ = 10–90°):
- (0 2 2), 2θ 36.63, intensity 100
- (4 0 -1), 2θ 37.52, intensity 74
- (2 2 -1), 2θ 34.44, intensity 53
- (2 0 -3), 2θ 35.58, intensity 47
- (2 2 1), 2θ 37.67, intensity 46
- (2 0 2), 2θ 33.79, intensity 39


3.
# Mg2Al4P3
Calculated powder X-ray diffraction pattern, Cu Kα (weighted mean of Kα1 and Kα2). Input: DFT lattice parameters and positions (GGA-PBE).

Structure:
```
data_Mg2Al4P3
_chemical_formula_sum 'Mg4 Al8 P6'
_symmetry_space_group_name_H-M 'P 63/m m c'
_symmetry_Int_Tables_number 194
_symmetry_space_group_name_Hall '-P 6c 2c'
_cell_length_a 4.9652
_cell_length_b 4.9652
_cell_length_c 14.7615
_cell_angle_alpha 90.00
_cell_angle_beta 90.00
_cell_angle_gamma 120.00
loop_
_atom_site_label
_atom_site_type_symbol
_atom_site_fract_x
_atom_site_fract_y
_atom_site_fract_z
_atom_site_occupancy
Mg1 Mg 0.3333 0.6667 0.1491 1
Al1 Al 0.0000 0.0000 0.0929 1
Al2 Al 0.3333 0.6667 0.5397 1
P1 P 0.1696 0.3393 0.7500 1
```

Main lines, in order of falling intensity (2θ = 10–90°):
- (1 0 5), 2θ 36.93, intensity 100
- (1 1 0), 2θ 36.18, intensity 65
- (2 0 1), 2θ 42.49, intensity 51
- (1 1 2), 2θ 38.25, intensity 46
- (1 1 4), 2θ 43.93, intensity 40
- (0 0 2), 2θ 11.99, intensity 38


4.
# Mg8Al2P
Calculated powder X-ray diffraction pattern, Cu Kα (weighted mean of Kα1 and Kα2). Input: DFT lattice parameters and positions (GGA-PBE).

Structure:
```
data_Mg8Al2P
_chemical_formula_sum 'Mg8 Al2 P1'
_symmetry_space_group_name_H-M 'P 1'
_symmetry_Int_Tables_number 1
_cell_length_a 4.752
_cell_length_b 5.623
_cell_length_c 10.406
_cell_angle_alpha 95.38
_cell_angle_beta 98.45
_cell_angle_gamma 114.34
loop_
_symmetry_equiv_pos_as_xyz
'x,y,z'
loop_
_atom_site_label
_atom_site_type_symbol
_atom_site_fract_x
_atom_site_fract_y
_atom_site_fract_z
_atom_site_occupancy
Mg1 Mg 0.000 0.000 0.000 1
Mg2 Mg 0.006 0.190 0.714 1
Mg3 Mg 0.071 0.872 0.347 1
Mg4 Mg 0.320 0.431 0.239 1
Mg5 Mg 0.335 0.847 0.771 1
Mg6 Mg 0.536 0.663 0.531 1
Mg7 Mg 0.687 0.500 0.820 1
Mg8 Mg 0.831 0.314 0.427 1
Al1 Al 0.274 0.568 0.982 1
Al2 Al 0.564 0.992 0.177 1
P1 P 0.456 0.157 0.594 1
```

Main lines, in order of falling intensity (2θ = 10–90°):
- (-2 1 1), 2θ 38.01, intensity 100
- (1 0 3), 2θ 37.27, intensity 52
- (1 1 -3), 2θ 37.54, intensity 48
- (1 -2 2), 2θ 36.27, intensity 44
- (-1 1 4), 2θ 40.20, intensity 39
- (0 2 1), 2θ 38.19, intensity 34


5.
# Mg2AlP
Calculated powder X-ray diffraction pattern, Cu Kα (weighted mean of Kα1 and Kα2). Input: DFT lattice parameters and positions (GGA-PBE).

Structure:
```
data_Mg2AlP
_chemical_formula_sum 'Mg2 Al1 P1'
_symmetry_space_group_name_H-M 'P 1 2/m 1'
_symmetry_Int_Tables_number 10
_cell_length_a 3.645
_cell_length_b 3.494
_cell_length_c 5.725
_cell_angle_alpha 90.00
_cell_angle_beta 90.19
_cell_angle_gamma 90.00
loop_
_symmetry_equiv_pos_as_xyz
'x,y,z'
'-x,-y,-z'
'-x,y,-z'
'x,-y,z'
loop_
_atom_site_label
_atom_site_type_symbol
_atom_site_fract_x
_atom_site_fract_y
_atom_site_fract_z
_atom_site_occupancy
Mg1 Mg 0.002 0.000 0.263 1
Al1 Al 0.500 0.500 0.000 1
P1 P 0.500 0.500 0.500 1
```

Main lines, in order of falling intensity (2θ = 10–90°):
- (1 1 0), 2θ 35.60, intensity 100
- (0 1 2), 2θ 40.75, intensity 66
- (1 0 -2), 2θ 39.98, intensity 35
- (1 0 2), 2θ 40.12, intensity 35
- (1 2 -2), 2θ 67.92, intensity 28
- (2 0 0), 2θ 50.05, intensity 18


6.
# Mg2PaAl10
Calculated powder X-ray diffraction pattern, Cu Kα (weighted mean of Kα1 and Kα2). Input: DFT lattice parameters and positions (GGA-PBE).

Structure:
```
data_Mg2PaAl10
_chemical_formula_sum 'Mg8 Pa4 Al40'
_symmetry_space_group_name_H-M 'F m m m'
_symmetry_Int_Tables_number 69
_symmetry_space_group_name_Hall '-F 2 2'
_cell_length_a 5.546
_cell_length_b 12.769
_cell_length_c 13.414
_cell_angle_alpha 90.00
_cell_angle_beta 90.00
_cell_angle_gamma 90.00
loop_
_atom_site_label
_atom_site_type_symbol
_atom_site_fract_x
_atom_site_fract_y
_atom_site_fract_z
_atom_site_occupancy
Mg1 Mg 0.250 0.000 0.250 1
Pa1 Pa 0.000 0.000 0.000 1
Al1 Al 0.000 0.107 0.398 1
Al2 Al 0.000 0.182 0.173 1
Al3 Al 0.250 0.250 0.000 1
```

Main lines, in order of falling intensity (2θ = 10–90°):
- (2 2 2), 2θ 37.87, intensity 100
- (1 1 1), 2θ 18.66, intensity 68
- (1 3 3), 2θ 33.25, intensity 54
- (1 1 3), 2θ 26.55, intensity 52
- (0 0 2), 2θ 13.20, intensity 46
- (1 5 1), 2θ 39.42, intensity 43


7.
# Mg16Al12Pb
Calculated powder X-ray diffraction pattern, Cu Kα (weighted mean of Kα1 and Kα2). Input: DFT lattice parameters and positions (GGA-PBE).

Structure:
```
data_Mg16Al12Pb
_chemical_formula_sum 'Mg32 Al24 Pb2'
_symmetry_space_group_name_H-M 'C 1 m 1'
_symmetry_Int_Tables_number 8
_cell_length_a 10.580
_cell_length_b 14.890
_cell_length_c 9.132
_cell_angle_alpha 90.00
_cell_angle_beta 124.41
_cell_angle_gamma 90.00
loop_
_symmetry_equiv_pos_as_xyz
'x,y,z'
'x,-y,z'
'x+1/2,y+1/2,z'
'x+1/2,-y+1/2,z'
loop_
_atom_site_label
_atom_site_type_symbol
_atom_site_fract_x
_atom_site_fract_y
_atom_site_fract_z
_atom_site_occupancy
Mg1 Mg 0.000 0.000 0.000 1
Mg2 Mg 0.001 0.000 0.344 1
Mg3 Mg 0.017 0.302 0.662 1
Mg4 Mg 0.037 0.357 0.339 1
Mg5 Mg 0.201 0.202 0.027 1
Mg6 Mg 0.314 0.000 0.056 1
Mg7 Mg 0.330 0.326 0.350 1
Mg8 Mg 0.336 0.000 0.677 1
Mg9 Mg 0.348 0.340 0.745 1
Mg10 Mg 0.443 0.155 0.943 1
Al1 Al 0.096 0.093 0.713 1
Al2 Al 0.133 0.500 0.169 1
Al3 Al 0.183 0.185 0.527 1
Al4 Al 0.231 0.405 0.994 1
Al5 Al 0.268 0.092 0.334 1
Al6 Al 0.328 0.500 0.524 1
Al7 Al 0.497 0.315 0.156 1
Pb1 Pb 0.112 0.500 0.638 1
```

Main lines, in order of falling intensity (2θ = 10–90°):
- (4 0 -1), 2θ 35.77, intensity 100
- (0 6 0), 2θ 36.19, intensity 88
- (0 2 0), 2θ 11.89, intensity 82
- (4 2 -2), 2θ 36.02, intensity 80
- (1 3 0), 2θ 20.61, intensity 78
- (0 0 1), 2θ 11.75, intensity 74


8.
# Mg5AlPb6
Calculated powder X-ray diffraction pattern, Cu Kα (weighted mean of Kα1 and Kα2). Input: DFT lattice parameters and positions (GGA-PBE).

Structure:
```
data_Mg5AlPb6
_chemical_formula_sum 'Mg5 Al1 Pb6'
_symmetry_space_group_name_H-M 'P 1 2/m 1'
_symmetry_Int_Tables_number 10
_cell_length_a 5.385
_cell_length_b 7.119
_cell_length_c 8.507
_cell_angle_alpha 90.00
_cell_angle_beta 106.44
_cell_angle_gamma 90.00
loop_
_symmetry_equiv_pos_as_xyz
'x,y,z'
'-x,-y,-z'
'-x,y,-z'
'x,-y,z'
loop_
_atom_site_label
_atom_site_type_symbol
_atom_site_fract_x
_atom_site_fract_y
_atom_site_fract_z
_atom_site_occupancy
Mg1 Mg 0.000 0.000 0.000 1
Mg2 Mg 0.331 0.500 0.662 1
Mg3 Mg 0.332 0.000 0.664 1
Al1 Al 0.000 0.500 0.000 1
Pb1 Pb 0.164 0.251 0.329 1
Pb2 Pb 0.500 0.253 0.000 1
```

Main lines, in order of falling intensity (2θ = 10–90°):
- (1 2 1), 2θ 34.13, intensity 100
- (1 2 -2), 2θ 34.70, intensity 96
- (1 0 1), 2θ 22.84, intensity 80
- (1 0 -2), 2θ 23.66, intensity 74
- (0 2 0), 2θ 25.02, intensity 65
- (0 0 3), 2θ 32.93, intensity 55


9.
# MgAl3Pb
Calculated powder X-ray diffraction pattern, Cu Kα (weighted mean of Kα1 and Kα2). Input: DFT lattice parameters and positions (GGA-PBE).

Structure:
```
data_MgAl3Pb
_chemical_formula_sum 'Mg1 Al3 Pb1'
_symmetry_space_group_name_H-M 'P m -3 m'
_symmetry_Int_Tables_number 221
_symmetry_space_group_name_Hall '-P 4 2 3'
_cell_length_a 5.137
_cell_length_b 5.137
_cell_length_c 5.137
_cell_angle_alpha 90.00
_cell_angle_beta 90.00
_cell_angle_gamma 90.00
loop_
_atom_site_label
_atom_site_type_symbol
_atom_site_fract_x
_atom_site_fract_y
_atom_site_fract_z
_atom_site_occupancy
Mg1 Mg 0.000 0.000 0.000 1
Al1 Al 0.000 0.000 0.500 1
Pb1 Pb 0.500 0.500 0.500 1
```

Main lines, in order of falling intensity (2θ = 10–90°):
- (1 1 0), 2θ 24.50, intensity 100
- (1 1 1), 2θ 30.13, intensity 66
- (1 0 0), 2θ 17.26, intensity 59
- (2 0 0), 2θ 34.93, intensity 49
- (2 1 1), 2θ 43.13, intensity 47
- (2 2 0), 2θ 50.23, intensity 35


10.
# Mg7AlPb2
Calculated powder X-ray diffraction pattern, Cu Kα (weighted mean of Kα1 and Kα2). Input: DFT lattice parameters and positions (GGA-PBE).

Structure:
```
data_Mg7AlPb2
_chemical_formula_sum 'Mg28 Al4 Pb8'
_symmetry_space_group_name_H-M 'F m -3 m'
_symmetry_Int_Tables_number 225
_symmetry_space_group_name_Hall '-F 4 2 3'
_cell_length_a 10.489
_cell_length_b 10.489
_cell_length_c 10.489
_cell_angle_alpha 90.00
_cell_angle_beta 90.00
_cell_angle_gamma 90.00
loop_
_atom_site_label
_atom_site_type_symbol
_atom_site_fract_x
_atom_site_fract_y
_atom_site_fract_z
_atom_site_occupancy
Mg1 Mg 0.000 0.000 0.000 1
Mg2 Mg 0.000 0.000 0.253 1
Al1 Al 0.000 0.000 0.500 1
Pb1 Pb 0.250 0.250 0.250 1
```

Main lines, in order of falling intensity (2θ = 10–90°):
- (2 2 0), 2θ 24.00, intensity 100
- (2 2 2), 2θ 29.50, intensity 63
- (2 0 0), 2θ 16.91, intensity 58
- (4 2 2), 2θ 42.21, intensity 47
- (4 0 0), 2θ 34.20, intensity 47
- (4 2 0), 2θ 38.38, intensity 34


11.
# Mg6AlPb
Calculated powder X-ray diffraction pattern, Cu Kα (weighted mean of Kα1 and Kα2). Input: DFT lattice parameters and positions (GGA-PBE).

Structure:
```
data_Mg6AlPb
_chemical_formula_sum 'Mg6 Al1 Pb1'
_symmetry_space_group_name_H-M 'P 4/m m m'
_symmetry_Int_Tables_number 123
_symmetry_space_group_name_Hall '-P 4 2'
_cell_length_a 4.485
_cell_length_b 4.485
_cell_length_c 8.944
_cell_angle_alpha 90.00
_cell_angle_beta 90.00
_cell_angle_gamma 90.00
loop_
_atom_site_label
_atom_site_type_symbol
_atom_site_fract_x
_atom_site_fract_y
_atom_site_fract_z
_atom_site_occupancy
Mg1 Mg 0.000 0.000 0.000 1
Mg2 Mg 0.000 0.000 0.500 1
Mg3 Mg 0.000 0.500 0.236 1
Al1 Al 0.500 0.500 0.000 1
Pb1 Pb 0.500 0.500 0.500 1
```

Main lines, in order of falling intensity (2θ = 10–90°):
- (1 1 2), 2θ 34.67, intensity 100
- (0 0 2), 2θ 19.81, intensity 64
- (1 0 1), 2θ 22.17, intensity 63
- (1 1 0), 2θ 28.16, intensity 56
- (0 0 3), 2θ 29.91, intensity 44
- (2 0 0), 2θ 40.21, intensity 33


12.
# Mg16Al12Pb
Calculated powder X-ray diffraction pattern, Cu Kα (weighted mean of Kα1 and Kα2). Input: DFT lattice parameters and positions (GGA-PBE).

Structure:
```
data_Mg16Al12Pb
_chemical_formula_sum 'Mg48 Al36 Pb3'
_symmetry_space_group_name_H-M 'R 3 m'
_symmetry_Int_Tables_number 160
_symmetry_space_group_name_Hall 'R 3 -2"'
_cell_length_a 14.9503
_cell_length_b 14.9503
_cell_length_c 9.1886
_cell_angle_alpha 90.00
_cell_angle_beta 90.00
_cell_angle_gamma 120.00
loop_
_atom_site_label
_atom_site_type_symbol
_atom_site_fract_x
_atom_site_fract_y
_atom_site_fract_z
_atom_site_occupancy
Mg1 Mg 0.0000 0.0000 0.0000 1
Mg2 Mg 0.0408 0.3613 0.3663 1
Mg3 Mg 0.1015 0.5507 0.5553 1
Mg4 Mg 0.1051 0.2102 0.5062 1
Mg5 Mg 0.2008 0.4016 0.1192 1
Al1 Al 0.0016 0.1885 0.1845 1
Al2 Al 0.1250 0.0625 0.7053 1
Al3 Al 0.2103 0.4205 0.6101 1
Pb1 Pb 0.0000 0.0000 0.3433 1
```

Main lines, in order of falling intensity (2θ = 10–90°):
- (3 0 3), 2θ 36.00, intensity 100
- (1 1 0), 2θ 11.83, intensity 61
- (3 0 0), 2θ 20.55, intensity 33
- (1 2 2), 2θ 26.63, intensity 23
- (1 1 3), 2θ 31.61, intensity 21
- (5 1 1), 2θ 39.99, intensity 21